1.
Rb2ZrO3: theoretical XRD peak list (Cu Kα X-rays), based on the PBE geometry in the Materials Project.

Cell and atoms:
```
Rb2ZrO3
1.0
3.233 -6.231 0.000
3.233 6.231 0.000
0.000 0.000 13.939
Rb Zr O
8 4 12
Cartesian
3.233 5.553 12.078 Rb
3.233 4.628 5.954 Rb
3.233 1.603 12.923 Rb
3.233 0.678 5.109 Rb
3.233 -0.678 8.830 Rb
3.233 -1.603 1.015 Rb
3.233 -4.628 7.985 Rb
3.233 -5.553 1.861 Rb
3.233 3.172 9.297 Zr
3.233 3.058 2.328 Zr
3.233 -3.058 11.611 Zr
3.233 -3.172 4.641 Zr
1.617 2.746 10.454 O
3.233 5.074 8.836 O
3.233 4.201 0.746 O
3.233 2.030 7.715 O
3.233 1.156 1.867 O
1.617 -2.746 3.485 O
4.850 2.746 10.454 O
3.233 -1.156 12.072 O
3.233 -2.030 6.223 O
3.233 -4.201 13.193 O
3.233 -5.074 5.102 O
4.850 -2.746 3.485 O
```

Most intense lines, 2θ = 10–90°, sorted by position:
Position (°2θ)  I_rel
25.56  22
26.29  23
27.59  67
28.57  100
30.00  41
37.96  23


2.
Re2O7: theoretical XRD peak list (Cu Kα X-rays), based on the PBE geometry in the Materials Project.

Cell and atoms:
```
Re2O7
1.0
9.184 -2.621 0.000
9.184 2.621 0.000
0.000 0.000 5.406
Re O
4 14
Cartesian
7.253 1.336 4.054 Re
11.115 1.336 4.054 Re
7.253 -1.336 1.351 Re
11.115 -1.336 1.351 Re
3.604 0.805 1.351 O
1.510 0.000 0.000 O
1.510 0.000 2.703 O
9.184 0.958 4.054 O
3.604 -0.805 4.054 O
7.043 0.000 0.000 O
7.043 0.000 2.703 O
11.325 0.000 0.000 O
11.325 0.000 2.703 O
14.764 0.805 1.351 O
9.184 -0.958 1.351 O
16.857 0.000 0.000 O
16.857 0.000 2.703 O
14.764 -0.805 4.054 O
```

Most intense lines, 2θ = 10–90°, sorted by position:
Position (°2θ)  I_rel
19.33  52
24.14  100
27.83  17
34.11  42
48.38  16
50.90  18


3.
ReO3: theoretical XRD peak list (Cu Kα X-rays), based on the PBE geometry in the Materials Project.

Cell and atoms:
```
ReO3
1.0
4.916 0.000 0.000
-2.458 4.257 0.000
0.000 0.000 4.505
Re O
2 6
Cartesian
0.000 2.838 1.126 Re
2.458 1.419 3.379 Re
-0.921 1.596 0.000 O
-1.536 2.661 2.253 O
1.843 0.000 0.000 O
0.921 1.596 2.253 O
3.073 0.000 2.253 O
1.536 2.661 0.000 O
```

Most intense lines, 2θ = 10–90°, sorted by position:
Position (°2θ)  I_rel
20.87  43
28.85  100
36.56  27
47.23  26
55.32  27
61.16  25